(1)
TbAgPb3: computed X-ray powder pattern (Cu Kα), based on DFT lattice parameters and positions (PBE).
Kinematic intensities with the Lorentz-polarization factor, no thermal factor.

Cell and atoms:
```
TbAgPb3
1.0
4.4096 0.0000 0.0000
2.2042 5.5362 0.0000
2.1818 0.5654 5.5862
Tb Ag Pb
1 1 3
Direct
0.0000 0.0000 0.0000
0.1814 0.2319 0.4010
0.3860 0.4214 0.8008
0.6144 0.5736 0.1956
0.7732 0.8693 0.5777
```

Peak list (10 most intense, 5 to 70 degrees two-theta, in order of rising 2θ)
hkl, d (Å), 2theta, intensity
1 2 1, 2.788, 32.11, 100.0
1 1 -1, 2.710, 33.06, 49.1
1 0 2, 2.700, 33.18, 48.4
0 1 2, 2.599, 34.51, 44.1
0 2 -1, 2.377, 37.85, 28.2
2 1 1, 2.205, 40.93, 28.4
0 1 -3, 1.712, 53.51, 11.5
2 0 -1, 1.684, 54.47, 12.8
2 2 3, 1.678, 54.69, 12.4
3 3 2, 1.361, 69.02, 11.4

***

(2)
Ac2Se2O6F: computed X-ray powder pattern (Cu Kα), based on DFT lattice parameters and positions (PBE).
Kinematic intensities with the Lorentz-polarization factor, no thermal factor.

Cell and atoms:
```
Ac2Se2O6F
1.0
5.5288 0.0000 0.0000
1.2501 5.9266 0.0000
2.2429 -0.1495 6.0913
Ac Se O F
2 2 6 1
Direct
0.0419 0.2158 0.2158
0.9581 0.7842 0.7842
0.4102 0.2378 0.6510
0.5898 0.7622 0.3490
0.2646 0.8746 0.3732
0.2670 0.0098 0.8378
0.2770 0.4345 0.8706
0.7230 0.5655 0.1294
0.7330 0.9902 0.1622
0.7354 0.1254 0.6268
0.0000 0.5000 0.5000
```

Peak list (10 most intense, 5 to 70 degrees two-theta, in order of rising 2θ)
hkl, d (Å), 2theta, intensity
1 0 0, 5.081, 17.45, 56.4
0 1 -1, 4.302, 20.64, 39.6
1 1 1, 4.085, 21.76, 100.0
1 -1 1, 3.449, 25.83, 76.9
1 1 -1, 3.136, 28.47, 97.9
0 0 2, 3.046, 29.32, 38.5
0 2 0, 2.962, 30.17, 40.8
-1 1 1, 2.761, 32.42, 28.4
0 1 2, 2.682, 33.41, 29.1
2 1 1, 2.668, 33.59, 28.0